# 1
Structure and calculated powder X-ray diffraction pattern of TmZrOs2 (DFT lattice parameters and positions (PBE); Cu Kα).

The 10 most intense peaks (2θ = 10–80°), in order of falling intensity:
38.3 deg, d = 2.349 Å, intensity 100, (2 2 0); 69.3 deg, d = 1.356 Å, intensity 35, (4 2 2); 55.3 deg, d = 1.661 Å, intensity 17, (4 0 0); 26.8 deg, d = 3.322 Å, intensity 4, (2 0 0); 23.2 deg, d = 3.836 Å, intensity 3, (1 1 1); 45.3 deg, d = 2.004 Å, intensity 2, (3 1 1); 62.5 deg, d = 1.486 Å, intensity 2, (4 2 0); 47.4 deg, d = 1.918 Å, intensity 1, (2 2 2); 60.8 deg, d = 1.524 Å, intensity 1, (3 3 1); 74.1 deg, d = 1.279 Å, intensity 1, (5 1 1)

Atomic structure:
Cell lengths 6.645, 6.645, 6.645 Å; angles 90.00, 90.00, 90.00 degrees
Space group Fm-3m (No. 225)
One atom of each set of equivalent atoms:
Tm 0.000 0.000 0.000 x4
Zr 0.000 0.000 0.500 x4
Os 0.250 0.250 0.250 x8

=====

# 2
Structure and calculated powder X-ray diffraction pattern of Zr2Ti3Si3 (DFT lattice parameters and positions (PBE); Cu Kα).

The 10 most intense peaks (2θ = 10–80°), in order of falling intensity:
40.5 deg, d = 2.229 Å, intensity 100, (3 0 0); 35.5 deg, d = 2.528 Å, intensity 40, (2 1 0); 39.3 deg, d = 2.293 Å, intensity 25, (2 1 1); 13.3 deg, d = 6.682 Å, intensity 24, (1 0 0); 58.6 deg, d = 1.576 Å, intensity 17, (2 2 2); 23.1 deg, d = 3.858 Å, intensity 15, (1 1 0); 26.7 deg, d = 3.341 Å, intensity 15, (2 0 0); 73.6 deg, d = 1.286 Å, intensity 11, (3 3 0); 62.9 deg, d = 1.477 Å, intensity 10, (2 1 3); 60.4 deg, d = 1.534 Å, intensity 8, (3 1 2)

Atomic structure:
Cell lengths 7.7157, 7.7157, 5.4669 Å; angles 90.00, 90.00, 120.00 degrees
Space group P6_3/mcm (No. 193)
One atom of each set of equivalent atoms:
Zr 0.3333 0.6667 0.0000 x4
Ti 0.0000 0.2564 0.2500 x6
Si 0.0000 0.3764 0.7500 x6

=====

# 3
Structure and calculated powder X-ray diffraction pattern of Lu2MgRu (DFT lattice parameters and positions (PBE); Cu Kα).

The 10 most intense peaks (2θ = 10–80°), in order of falling intensity:
36.5 deg, d = 2.460 Å, intensity 100, (2 2 0); 65.7 deg, d = 1.420 Å, intensity 36, (4 2 2); 25.6 deg, d = 3.479 Å, intensity 26, (2 0 0); 52.6 deg, d = 1.740 Å, intensity 18, (4 0 0); 77.6 deg, d = 1.230 Å, intensity 11, (4 4 0); 59.4 deg, d = 1.556 Å, intensity 11, (4 2 0); 45.1 deg, d = 2.009 Å, intensity 8, (2 2 2); 22.1 deg, d = 4.018 Å, intensity 7, (1 1 1); 43.1 deg, d = 2.098 Å, intensity 3, (3 1 1); 57.8 deg, d = 1.596 Å, intensity 1, (3 3 1)

Atomic structure:
Cell lengths 6.959, 6.959, 6.959 Å; angles 90.00, 90.00, 90.00 degrees
Space group Fm-3m (No. 225)
One atom of each set of equivalent atoms:
Lu 0.250 0.250 0.250 x8
Mg 0.000 0.000 0.000 x4
Ru 0.000 0.000 0.500 x4